1.
Starting from a PBE-relaxed structure, the X-ray diffraction stick pattern of NpMn2PN was calculated for copper Kα.
Lines closer than 0.1° are merged.

Peak list (12 most intense, 2θ from 15° to 90°, most intense first)
2θ (°)	intensity	(hkl)
38.98	1000	1 1 1
29.51	894	1 0 1
24.89	637	1 0 0
40.55	544	1 0 2
31.49	384	0 0 2
51.07	296	2 0 0
61.13	272	1 1 3
60.09	258	2 1 1
67.16	251	2 1 2
15.60	244	0 0 1
61.24	228	2 0 2
54.85	207	1 0 3

Structural model:
Cell lengths 3.577, 3.577, 5.682 Å; angles 90.00, 90.00, 90.00 degrees
Space group P4mm (No. 99)
Unique sites:
Np (0.000, 0.000, 0.000)
Mn (0.000, 0.500, 0.486)
P (0.500, 0.500, 0.232)
N (0.000, 0.000, 0.618)

2.
Starting from a PBE-relaxed structure, the X-ray diffraction stick pattern of Th2NpMnN5 was calculated for copper Kα.
Lines closer than 0.1° are merged.

Peak list (12 most intense, 2θ from 15° to 90°, most intense first)
2θ (°)	intensity	(hkl)
31.04	1000	2 0 1
33.91	715	2 1 1
24.40	479	1 1 1
30.88	479	0 0 2
43.65	423	2 1 2
30.08	349	2 1 0
43.06	307	3 1 0
53.92	253	3 1 2
61.33	218	3 3 1
55.02	215	2 0 3
38.33	206	2 2 0
50.00	185	2 2 2

Structural model:
Cell lengths 6.643, 6.643, 5.791 Å; angles 90.00, 90.00, 90.00 degrees
Space group P4/mbm (No. 127)
Unique sites:
Th (0.169, 0.331, 0.000)
Np (0.000, 0.000, 0.500)
Mn (0.000, 0.500, 0.500)
N (0.000, 0.000, 0.000)
N (0.150, 0.650, 0.278)